MgZnO2: calculated X-ray powder pattern (a wavelength of 1.5418 Å), based on a structure optimized by DFT (GGA-PBE).
Peak positions follow from Bragg's law for the DFT cell and can differ from measured ones.

Principal peaks in the range 5° ≤ 2θ ≤ 70°, sorted by position:
| d/Å | intensity | hkl |
| --- | --- | --- |
| 5.209 | 43 | 0 0 1 |
| 2.863 | 88 | 1 0 0 |
| 2.604 | 44 | 0 0 2 |
| 2.509 | 100 | 0 1 1 |
| 1.926 | 41 | 0 1 2 |
| 1.653 | 43 | 1 1 0 |
| 1.575 | 10 | 1 1 1 |
| 1.485 | 39 | 0 1 3 |
| 1.395 | 32 | 1 1 2 |
| 1.380 | 15 | 2 0 1 |

Structural model:
```
data_MgZnO2
_chemical_formula_sum 'Mg1 Zn1 O2'
_symmetry_space_group_name_H-M 'P 3 m 1'
_symmetry_Int_Tables_number 156
_cell_length_a 3.3053
_cell_length_b 3.3053
_cell_length_c 5.2090
_cell_angle_alpha 90.00
_cell_angle_beta 90.00
_cell_angle_gamma 120.00
loop_
_symmetry_equiv_pos_as_xyz
'x,y,z'
'-y,x-y,z'
'-x+y,-x,z'
'-y,-x,z'
'-x+y,y,z'
'x,x-y,z'
loop_
_atom_site_label
_atom_site_type_symbol
_atom_site_fract_x
_atom_site_fract_y
_atom_site_fract_z
_atom_site_occupancy
Mg1 Mg 0.0000 0.0000 0.0000 1
Zn1 Zn 0.3333 0.6667 0.5071 1
O1 O 0.0000 0.0000 0.3858 1
O2 O 0.3333 0.6667 0.8931 1
```



MgZnO2: calculated X-ray powder pattern (a wavelength of 1.5418 Å), based on a structure optimized by DFT (GGA-PBE).
Peak positions follow from Bragg's law for the DFT cell and can differ from measured ones.

Principal peaks in the range 5° ≤ 2θ ≤ 70°, sorted by position:
| d/Å | intensity | hkl |
| --- | --- | --- |
| 4.945 | 33 | 0 0 3 |
| 2.595 | 23 | 1 0 1 |
| 2.483 | 38 | 0 1 2 |
| 2.473 | 13 | 0 0 6 |
| 2.148 | 100 | 1 0 4 |
| 1.970 | 11 | 0 1 5 |
| 1.652 | 5 | 1 0 7 |
| 1.522 | 29 | 1 1 0 |
| 1.517 | 29 | 0 1 8 |
| 1.454 | 6 | 1 1 3 |

Structural model:
```
data_MgZnO2
_chemical_formula_sum 'Mg3 Zn3 O6'
_symmetry_space_group_name_H-M 'R -3 m'
_symmetry_Int_Tables_number 166
_symmetry_space_group_name_Hall '-R 3 2"'
_cell_length_a 3.0432
_cell_length_b 3.0432
_cell_length_c 14.8355
_cell_angle_alpha 90.00
_cell_angle_beta 90.00
_cell_angle_gamma 120.00
loop_
_atom_site_label
_atom_site_type_symbol
_atom_site_fract_x
_atom_site_fract_y
_atom_site_fract_z
_atom_site_occupancy
Mg1 Mg 0.0000 0.0000 0.0000 1
Zn1 Zn 0.0000 0.0000 0.5000 1
O1 O 0.0000 0.0000 0.2527 1
```



Mg2ZnO3: calculated X-ray powder pattern (a wavelength of 1.5418 Å), based on a structure optimized by DFT (GGA-PBE).
Peak positions follow from Bragg's law for the DFT cell and can differ from measured ones.

Principal peaks in the range 5° ≤ 2θ ≤ 70°, sorted by position:
| d/Å | intensity | hkl |
| --- | --- | --- |
| 4.951 | 44 | 2 0 0 |
| 3.589 | 42 | 1 1 1 |
| 2.858 | 88 | 0 2 0 |
| 2.607 | 57 | 0 0 2 |
| 2.506 | 100 | 3 1 1 |
| 1.926 | 33 | 0 2 2 |
| 1.650 | 58 | 6 0 0 |
| 1.485 | 48 | 3 1 3 |
| 1.394 | 42 | 6 0 2 |
| 1.378 | 16 | 0 4 1 |

Structural model:
```
data_Mg2ZnO3
_chemical_formula_sum 'Mg8 Zn4 O12'
_symmetry_space_group_name_H-M 'C m c 21'
_symmetry_Int_Tables_number 36
_cell_length_a 9.903
_cell_length_b 5.714
_cell_length_c 5.213
_cell_angle_alpha 90.00
_cell_angle_beta 90.00
_cell_angle_gamma 90.00
loop_
_symmetry_equiv_pos_as_xyz
'x,y,z'
'-x,-y,z+1/2'
'-x,y,z'
'x,-y,z+1/2'
'x+1/2,y+1/2,z'
'-x+1/2,-y+1/2,z+1/2'
'-x+1/2,y+1/2,z'
'x+1/2,-y+1/2,z+1/2'
loop_
_atom_site_label
_atom_site_type_symbol
_atom_site_fract_x
_atom_site_fract_y
_atom_site_fract_z
_atom_site_occupancy
Mg1 Mg 0.166 0.168 0.000 1
Zn1 Zn 0.000 0.332 0.498 1
O1 O 0.000 0.332 0.886 1
O2 O 0.168 0.164 0.384 1
```



MgZn3O4: calculated X-ray powder pattern (a wavelength of 1.5418 Å), based on a structure optimized by DFT (GGA-PBE).
Peak positions follow from Bragg's law for the DFT cell and can differ from measured ones.

Principal peaks in the range 5° ≤ 2θ ≤ 70°, sorted by position:
| d/Å | intensity | hkl |
| --- | --- | --- |
| 2.854 | 61 | 1 1 -1 |
| 2.844 | 31 | 2 0 -2 |
| 2.637 | 63 | 4 0 0 |
| 2.510 | 100 | 3 1 -1 |
| 2.503 | 50 | 0 0 2 |
| 1.936 | 40 | 2 0 2 |
| 1.649 | 20 | 0 2 0 |
| 1.644 | 39 | 3 1 -3 |
| 1.496 | 55 | 5 1 1 |
| 1.395 | 30 | 7 1 -3 |

Structural model:
```
data_MgZn3O4
_chemical_formula_sum 'Mg2 Zn6 O8'
_symmetry_space_group_name_H-M 'C 1 m 1'
_symmetry_Int_Tables_number 8
_cell_length_a 11.982
_cell_length_b 3.299
_cell_length_c 5.687
_cell_angle_alpha 90.00
_cell_angle_beta 118.33
_cell_angle_gamma 90.00
loop_
_symmetry_equiv_pos_as_xyz
'x,y,z'
'x,-y,z'
'x+1/2,y+1/2,z'
'x+1/2,-y+1/2,z'
loop_
_atom_site_label
_atom_site_type_symbol
_atom_site_fract_x
_atom_site_fract_y
_atom_site_fract_z
_atom_site_occupancy
Mg1 Mg 0.000 0.000 0.000 1
Zn1 Zn 0.248 0.000 0.909 1
Zn2 Zn 0.248 0.500 0.414 1
Zn3 Zn 0.499 0.000 0.495 1
O1 O 0.057 0.000 0.723 1
O2 O 0.057 0.500 0.219 1
O3 O 0.307 0.000 0.305 1
O4 O 0.310 0.500 0.809 1
```



MgZn2O3: calculated X-ray powder pattern (a wavelength of 1.5418 Å), based on a structure optimized by DFT (GGA-PBE).
Peak positions follow from Bragg's law for the DFT cell and can differ from measured ones.

Principal peaks in the range 5° ≤ 2θ ≤ 70°, sorted by position:
| d/Å | intensity | hkl |
| --- | --- | --- |
| 4.682 | 10 | 1 1 0 |
| 3.610 | 5 | 0 2 1 |
| 2.668 | 100 | 2 0 0 |
| 2.315 | 8 | 2 0 -2 |
| 2.309 | 15 | 1 3 1 |
| 1.635 | 31 | 3 3 -1 |
| 1.633 | 15 | 2 0 2 |
| 1.396 | 3 | 2 0 -4 |
| 1.395 | 9 | 3 3 -3 |
| 1.393 | 23 | 3 3 1 |

Structural model:
```
data_MgZn2O3
_chemical_formula_sum 'Mg4 Zn8 O12'
_symmetry_space_group_name_H-M 'C 1 c 1'
_symmetry_Int_Tables_number 9
_cell_length_a 5.659
_cell_length_b 9.798
_cell_length_c 5.671
_cell_angle_alpha 90.00
_cell_angle_beta 109.62
_cell_angle_gamma 90.00
loop_
_symmetry_equiv_pos_as_xyz
'x,y,z'
'x,-y,z+1/2'
'x+1/2,y+1/2,z'
'x+1/2,-y+1/2,z+1/2'
loop_
_atom_site_label
_atom_site_type_symbol
_atom_site_fract_x
_atom_site_fract_y
_atom_site_fract_z
_atom_site_occupancy
Mg1 Mg 0.000 0.084 0.000 1
Zn1 Zn 0.497 0.082 0.497 1
Zn2 Zn 0.499 0.251 0.997 1
O1 O 0.121 0.081 0.372 1
O2 O 0.122 0.250 0.874 1
O3 O 0.127 0.416 0.374 1
```



MgZr4O9: calculated X-ray powder pattern (a wavelength of 1.5418 Å), based on a structure optimized by DFT (GGA-PBE).
Peak positions follow from Bragg's law for the DFT cell and can differ from measured ones.

Principal peaks in the range 5° ≤ 2θ ≤ 70°, sorted by position:
| d/Å | intensity | hkl |
| --- | --- | --- |
| 16.398 | 32 | 2 0 0 |
| 4.097 | 41 | 8 0 0 |
| 3.280 | 42 | 10 0 0 |
| 2.889 | 100 | 3 1 1 |
| 2.849 | 44 | 4 0 -2 |
| 2.541 | 20 | 7 1 -1 |
| 1.922 | 17 | 13 1 1 |
| 1.738 | 31 | 1 1 -3 |
| 1.732 | 21 | 0 2 0 |
| 1.545 | 18 | 19 1 0 |

Structural model:
```
data_MgZr4O9
_chemical_formula_sum 'Mg4 Zr16 O36'
_symmetry_space_group_name_H-M 'C 1 2/m 1'
_symmetry_Int_Tables_number 12
_cell_length_a 32.803
_cell_length_b 3.465
_cell_length_c 6.030
_cell_angle_alpha 90.00
_cell_angle_beta 91.21
_cell_angle_gamma 90.00
loop_
_symmetry_equiv_pos_as_xyz
'x,y,z'
'-x,-y,-z'
'-x,y,-z'
'x,-y,z'
'x+1/2,y+1/2,z'
'-x+1/2,-y+1/2,-z'
'-x+1/2,y+1/2,-z'
'x+1/2,-y+1/2,z'
loop_
_atom_site_label
_atom_site_type_symbol
_atom_site_fract_x
_atom_site_fract_y
_atom_site_fract_z
_atom_site_occupancy
Mg1 Mg 0.000 0.000 0.000 1
Mg2 Mg 0.000 0.500 0.500 1
Zr1 Zr 0.079 0.000 0.678 1
Zr2 Zr 0.100 0.500 0.177 1
Zr3 Zr 0.187 0.000 0.397 1
Zr4 Zr 0.207 0.500 0.883 1
O1 O 0.017 0.000 0.701 1
O2 O 0.061 0.500 0.449 1
O3 O 0.065 0.000 0.059 1
O4 O 0.105 0.500 0.821 1
O5 O 0.122 0.000 0.395 1
O6 O 0.165 0.500 0.162 1
O7 O 0.179 0.000 0.761 1
O8 O 0.214 0.500 0.521 1
O9 O 0.229 0.000 0.121 1
```



Mg2Zr5O12: calculated X-ray powder pattern (a wavelength of 1.5418 Å), based on a structure optimized by DFT (GGA-PBE).
Peak positions follow from Bragg's law for the DFT cell and can differ from measured ones.

Principal peaks in the range 5° ≤ 2θ ≤ 70°, sorted by position:
| d/Å | intensity | hkl |
| --- | --- | --- |
| 2.961 | 46 | 1 1 2 |
| 2.947 | 100 | 1 0 -4 |
| 2.890 | 48 | 2 -1 0 |
| 2.532 | 15 | 2 1 -2 |
| 1.818 | 16 | 0 1 6 |
| 1.811 | 16 | 1 3 0 |
| 1.808 | 16 | 1 2 -6 |
| 1.785 | 17 | 2 -3 2 |
| 1.779 | 17 | -3 1 4 |
| 1.535 | 15 | -2 2 6 |

Structural model:
```
data_Mg2Zr5O12
_chemical_formula_sum 'Mg4 Zr10 O24'
_symmetry_space_group_name_H-M 'P -1'
_symmetry_Int_Tables_number 2
_cell_length_a 6.138
_cell_length_b 6.242
_cell_length_c 12.563
_cell_angle_alpha 99.50
_cell_angle_beta 99.36
_cell_angle_gamma 98.79
loop_
_symmetry_equiv_pos_as_xyz
'x,y,z'
'-x,-y,-z'
loop_
_atom_site_label
_atom_site_type_symbol
_atom_site_fract_x
_atom_site_fract_y
_atom_site_fract_z
_atom_site_occupancy
Mg1 Mg 0.096 0.137 0.409 1
Mg2 Mg 0.362 0.679 0.954 1
Zr1 Zr 0.113 0.147 0.912 1
Zr2 Zr 0.178 0.391 0.681 1
Zr3 Zr 0.201 0.385 0.180 1
Zr4 Zr 0.365 0.700 0.449 1
Zr5 Zr 0.486 0.993 0.752 1
O1 O 0.053 0.413 0.835 1
O2 O 0.072 0.812 0.460 1
O3 O 0.079 0.819 0.956 1
O4 O 0.086 0.418 0.340 1
O5 O 0.164 0.064 0.709 1
O6 O 0.188 0.052 0.191 1
O7 O 0.313 0.422 0.039 1
O8 O 0.328 0.453 0.548 1
O9 O 0.410 0.674 0.782 1
O10 O 0.426 0.682 0.285 1
O11 O 0.433 0.083 0.410 1
O12 O 0.441 0.111 0.909 1
```



Mg4Os: calculated X-ray powder pattern (a wavelength of 1.5418 Å), based on a structure optimized by DFT (GGA-PBE).
Peak positions follow from Bragg's law for the DFT cell and can differ from measured ones.

Principal peaks in the range 5° ≤ 2θ ≤ 70°, sorted by position:
| d/Å | intensity | hkl |
| --- | --- | --- |
| 4.665 | 70 | 1 1 0 |
| 3.520 | 62 | 1 0 1 |
| 3.299 | 23 | 2 0 0 |
| 2.407 | 100 | 2 1 1 |
| 2.086 | 31 | 1 3 0 |
| 2.081 | 13 | 0 0 2 |
| 1.944 | 16 | 3 0 1 |
| 1.900 | 13 | 1 1 2 |
| 1.675 | 16 | 3 2 1 |
| 1.473 | 20 | 1 3 2 |

Structural model:
```
data_Mg4Os
_chemical_formula_sum 'Mg8 Os2'
_symmetry_space_group_name_H-M 'I 4/m'
_symmetry_Int_Tables_number 87
_symmetry_space_group_name_Hall '-I 4'
_cell_length_a 6.598
_cell_length_b 6.598
_cell_length_c 4.161
_cell_angle_alpha 90.00
_cell_angle_beta 90.00
_cell_angle_gamma 90.00
loop_
_atom_site_label
_atom_site_type_symbol
_atom_site_fract_x
_atom_site_fract_y
_atom_site_fract_z
_atom_site_occupancy
Mg1 Mg 0.110 0.284 0.000 1
Os1 Os 0.000 0.000 0.500 1
```



MgOs: calculated X-ray powder pattern (a wavelength of 1.5418 Å), based on a structure optimized by DFT (GGA-PBE).
Peak positions follow from Bragg's law for the DFT cell and can differ from measured ones.

Principal peaks in the range 5° ≤ 2θ ≤ 70°, sorted by position:
| d/Å | intensity | hkl |
| --- | --- | --- |
| 3.609 | 70 | 1 1 1 |
| 2.210 | 100 | 2 2 0 |
| 1.885 | 36 | 3 1 1 |
| 1.563 | 17 | 4 0 0 |
| 1.434 | 15 | 3 3 1 |

Structural model:
Cell: 6.251 6.251 6.251 Å, 90.00 90.00 90.00°
Space group Fd-3m (No. 227, origin choice 2)
Asymmetric unit:
1 Mg 0.125 0.125 0.125 x8
2 Os 0.125 0.125 0.625 x8



MgOs: calculated X-ray powder pattern (a wavelength of 1.5418 Å), based on a structure optimized by DFT (GGA-PBE).
Peak positions follow from Bragg's law for the DFT cell and can differ from measured ones.

Principal peaks in the range 5° ≤ 2θ ≤ 70°, sorted by position:
| d/Å | intensity | hkl |
| --- | --- | --- |
| 9.448 | 100 | 0 0 3 |
| 2.463 | 9 | 1 0 1 |
| 2.362 | 8 | 0 0 12 |
| 2.334 | 29 | 1 0 4 |
| 2.110 | 11 | 1 0 7 |
| 2.028 | 18 | 0 1 8 |
| 1.784 | 8 | 0 1 11 |
| 1.440 | 4 | 1 0 16 |
| 1.428 | 6 | 1 1 0 |
| 1.412 | 5 | 1 1 3 |

Structural model:
```
data_MgOs
_chemical_formula_sum 'Mg6 Os6'
_symmetry_space_group_name_H-M 'R -3 m'
_symmetry_Int_Tables_number 166
_symmetry_space_group_name_Hall '-R 3 2"'
_cell_length_a 2.8550
_cell_length_b 2.8550
_cell_length_c 28.3436
_cell_angle_alpha 90.00
_cell_angle_beta 90.00
_cell_angle_gamma 120.00
loop_
_atom_site_label
_atom_site_type_symbol
_atom_site_fract_x
_atom_site_fract_y
_atom_site_fract_z
_atom_site_occupancy
Mg1 Mg 0.0000 0.0000 0.1164 1
Os1 Os 0.0000 0.0000 0.3691 1
```



MgPa3Sn3Os2: calculated X-ray powder pattern (a wavelength of 1.5418 Å), based on a structure optimized by DFT (GGA-PBE).
Peak positions follow from Bragg's law for the DFT cell and can differ from measured ones.

Principal peaks in the range 5° ≤ 2θ ≤ 70°, sorted by position:
| d/Å | intensity | hkl |
| --- | --- | --- |
| 6.681 | 27 | 1 0 0 |
| 2.731 | 100 | 1 1 1 |
| 2.527 | 97 | 2 0 1 |
| 2.227 | 30 | 3 0 0 |
| 1.933 | 20 | 0 0 2 |
| 1.853 | 19 | 3 1 0 |
| 1.671 | 18 | 3 1 1 |
| 1.535 | 18 | 2 1 2 |
| 1.460 | 16 | 3 0 2 |
| 1.425 | 21 | 3 2 1 |

Structural model:
```
data_MgPa3Sn3Os2
_chemical_formula_sum 'Mg1 Pa3 Sn3 Os2'
_symmetry_space_group_name_H-M 'P -6 2 m'
_symmetry_Int_Tables_number 189
_symmetry_space_group_name_Hall 'P -6 -2'
_cell_length_a 7.7144
_cell_length_b 7.7144
_cell_length_c 3.8670
_cell_angle_alpha 90.00
_cell_angle_beta 90.00
_cell_angle_gamma 120.00
loop_
_atom_site_label
_atom_site_type_symbol
_atom_site_fract_x
_atom_site_fract_y
_atom_site_fract_z
_atom_site_occupancy
Mg1 Mg 0.0000 0.0000 0.0000 1
Pa1 Pa 0.0000 0.4088 0.0000 1
Sn1 Sn 0.0000 0.7311 0.5000 1
Os1 Os 0.3333 0.6667 0.5000 1
```



Th2MgOsPb: calculated X-ray powder pattern (a wavelength of 1.5418 Å), based on a structure optimized by DFT (GGA-PBE).
Peak positions follow from Bragg's law for the DFT cell and can differ from measured ones.

Principal peaks in the range 5° ≤ 2θ ≤ 70°, sorted by position:
| d/Å | intensity | hkl |
| --- | --- | --- |
| 8.144 | 58 | 0 0 1 |
| 4.072 | 20 | 0 0 2 |
| 3.374 | 47 | 1 0 2 |
| 2.947 | 20 | 0 1 2 |
| 2.935 | 35 | 2 1 0 |
| 2.899 | 100 | 2 1 -1 |
| 2.643 | 24 | 2 1 1 |
| 2.309 | 33 | 1 1 -3 |
| 2.135 | 29 | 0 2 0 |
| 1.803 | 24 | 1 2 2 |

Structural model:
```
data_Th2MgOsPb
_chemical_formula_sum 'Th4 Mg2 Os2 Pb2'
_symmetry_space_group_name_H-M 'P 1 21/m 1'
_symmetry_Int_Tables_number 11
_cell_length_a 8.249
_cell_length_b 4.269
_cell_length_c 8.315
_cell_angle_alpha 90.00
_cell_angle_beta 101.60
_cell_angle_gamma 90.00
loop_
_symmetry_equiv_pos_as_xyz
'x,y,z'
'-x,-y,-z'
'-x,y+1/2,-z'
'x,-y+1/2,z'
loop_
_atom_site_label
_atom_site_type_symbol
_atom_site_fract_x
_atom_site_fract_y
_atom_site_fract_z
_atom_site_occupancy
Th1 Th 0.012 0.250 0.299 1
Th2 Th 0.402 0.750 0.621 1
Mg1 Mg 0.337 0.250 0.953 1
Os1 Os 0.197 0.250 0.637 1
Pb1 Pb 0.294 0.750 0.184 1
```